No. 1
The following is a calculated powder diffraction line list of CaMgOsO6. It was derived from a structure optimized by DFT (PBE), using Cu Kα.

Most intense lines, 15 to 90 degrees two-theta, in order of falling intensity:
d_spacing, 2θ (°), I_rel
4.352, 20.41, 100
3.459, 25.76, 77
2.665, 33.63, 56
1.802, 50.66, 50
4.767, 18.61, 34
2.799, 31.97, 28

```
CaMgOsO6
1.0
4.8914 0.0000 0.0000
0.0000 4.8914 0.0000
0.0000 0.0000 9.5338
Ca Mg Os O
2 2 2 12
direct
0.0000 0.0000 0.0000
0.5000 0.5000 0.5000
0.0000 0.0000 0.3329
0.5000 0.5000 0.8329
0.0000 0.0000 0.6670
0.5000 0.5000 0.1670
0.1746 0.1746 0.5157
0.1992 0.1992 0.7986
0.2292 0.2292 0.1795
0.2708 0.7292 0.6795
0.3008 0.6992 0.2986
0.3254 0.6746 0.0157
0.6746 0.3254 0.0157
0.6992 0.3008 0.2986
0.7292 0.2708 0.6795
0.7708 0.7708 0.1795
0.8008 0.8008 0.7986
0.8254 0.8254 0.5157
```

=====

No. 2
The following is a calculated powder diffraction line list of CaPu2MgO8. It was derived from a structure optimized by DFT (PBE), using Cu Kα.

Most intense lines, 15 to 90 degrees two-theta, in order of falling intensity:
d_spacing, 2θ (°), I_rel
4.879, 18.18, 100
2.819, 31.74, 76
3.540, 25.16, 44
3.366, 26.48, 37
1.872, 48.65, 33
2.472, 36.34, 29

```
CaPu2MgO8
1.0
3.3663 -3.5395 0.0000
3.3663 3.5395 0.0000
0.0000 0.0000 6.9089
Ca Pu Mg O
1 2 1 8
direct
0.0000 0.0000 0.0000
0.5000 0.5000 0.2561
0.5000 0.5000 0.7439
0.0000 0.0000 0.5000
0.2124 0.2124 0.2681
0.2124 0.2124 0.7319
0.3090 0.6910 0.5000
0.3228 0.6772 0.0000
0.6772 0.3228 0.0000
0.6910 0.3090 0.5000
0.7876 0.7876 0.2681
0.7876 0.7876 0.7319
```

=====

No. 3
The following is a calculated powder diffraction line list of CaMg2S3O12. It was derived from a structure optimized by DFT (PBE), using Cu Kα.

Most intense lines, 15 to 90 degrees two-theta, in order of falling intensity:
d_spacing, 2θ (°), I_rel
3.713, 23.97, 100
2.805, 31.90, 43
1.856, 49.09, 20
2.477, 36.26, 12
1.621, 56.78, 9
1.583, 58.29, 9

```
CaMg2S3O12
1.0
8.5817 0.0000 0.0000
-4.2908 7.4319 0.0000
0.0000 0.0000 7.4073
Ca Mg S O
2 4 6 24
direct
0.0000 0.0000 0.0000
0.0000 0.0000 0.5000
0.3333 0.6667 0.0460
0.3333 0.6667 0.4540
0.6667 0.3333 0.5460
0.6667 0.3333 0.9540
0.0334 0.6675 0.7500
0.3325 0.3659 0.7500
0.3659 0.0334 0.2500
0.6341 0.9666 0.7500
0.6675 0.6341 0.2500
0.9666 0.3325 0.2500
0.0205 0.1913 0.2500
0.1356 0.5126 0.2500
0.1372 0.6887 0.5847
0.1372 0.6887 0.9153
0.1708 0.9795 0.2500
0.1913 0.1708 0.7500
0.3113 0.4485 0.5847
0.3113 0.4485 0.9153
0.3770 0.8644 0.2500
0.4485 0.1372 0.0847
0.4485 0.1372 0.4153
0.4874 0.6230 0.2500
0.5126 0.3770 0.7500
0.5515 0.8628 0.5847
0.5515 0.8628 0.9153
0.6230 0.1356 0.7500
0.6887 0.5515 0.0847
0.6887 0.5515 0.4153
0.8087 0.8292 0.2500
0.8292 0.0205 0.7500
0.8628 0.3113 0.0847
0.8628 0.3113 0.4153
0.8644 0.4874 0.7500
0.9795 0.8087 0.7500
```

=====

No. 4
The following is a calculated powder diffraction line list of CaMgSe2O6. It was derived from a structure optimized by DFT (PBE), using Cu Kα.

Most intense lines, 15 to 90 degrees two-theta, in order of falling intensity:
d_spacing, 2θ (°), I_rel
3.094, 28.85, 100
2.671, 33.55, 54
2.407, 37.36, 46
4.044, 21.98, 42
1.542, 59.98, 27
5.550, 15.97, 25

```
CaMgSe2O6
1.0
2.6712 1.5422 5.5502
-2.6712 1.5422 5.5502
0.0000 -3.0844 5.5502
Ca Mg Se O
1 1 2 6
direct
0.0000 0.0000 0.0000
0.5000 0.5000 0.5000
0.2797 0.2797 0.2797
0.7203 0.7203 0.7203
0.0693 0.4629 0.7456
0.2544 0.9307 0.5371
0.4629 0.7456 0.0693
0.5371 0.2544 0.9307
0.7456 0.0693 0.4629
0.9307 0.5371 0.2544
```

=====

No. 5
The following is a calculated powder diffraction line list of Ca3MgSi2O8. It was derived from a structure optimized by DFT (PBE), using Cu Kα.

Most intense lines, 15 to 90 degrees two-theta, in order of falling intensity:
d_spacing, 2θ (°), I_rel
2.720, 32.93, 100
2.691, 33.30, 47
2.669, 33.57, 46
1.930, 47.07, 40
2.795, 32.02, 31
1.896, 47.99, 27

```
Ca3MgSi2O8
1.0
9.4917 0.0000 0.0000
0.0000 5.3389 0.0000
-0.5953 0.0000 13.4000
Ca Mg Si O
12 4 8 32
direct
0.0715 0.2320 0.4200
0.0715 0.2680 0.9200
0.2187 0.6777 0.2581
0.2187 0.8223 0.7581
0.4230 0.2433 0.0996
0.4230 0.2567 0.5996
0.5770 0.7433 0.4004
0.5770 0.7567 0.9004
0.7813 0.1777 0.2419
0.7813 0.3223 0.7419
0.9285 0.7320 0.0800
0.9285 0.7680 0.5800
0.2546 0.7406 0.5048
0.2546 0.7594 0.0048
0.7454 0.2406 0.9952
0.7454 0.2594 0.4952
0.0942 0.2277 0.1419
0.0942 0.2723 0.6419
0.3960 0.2278 0.3690
0.3960 0.2722 0.8690
0.6040 0.7278 0.1310
0.6040 0.7722 0.6310
0.9058 0.7277 0.3581
0.9058 0.7723 0.8581
0.0587 0.7080 0.4231
0.0587 0.7920 0.9231
0.0693 0.1895 0.7560
0.0693 0.3105 0.2560
0.1767 0.0423 0.5846
0.1767 0.4577 0.0846
0.1832 0.5316 0.6277
0.1832 0.9684 0.1277
0.2988 0.0924 0.9393
0.2988 0.4076 0.4393
0.3280 0.5578 0.8746
0.3280 0.9422 0.3746
0.3988 0.1369 0.7604
0.3988 0.3631 0.2604
0.4478 0.7182 0.0726
0.4478 0.7818 0.5726
0.5522 0.2182 0.4274
0.5522 0.2818 0.9274
0.6012 0.6369 0.7396
0.6012 0.8631 0.2396
0.6720 0.0578 0.6254
0.6720 0.4422 0.1254
0.7012 0.5924 0.5607
0.7012 0.9076 0.0607
0.8168 0.0316 0.8723
0.8168 0.4684 0.3723
0.8233 0.5423 0.9154
0.8233 0.9577 0.4154
0.9307 0.6895 0.7440
0.9307 0.8105 0.2440
0.9413 0.2080 0.0769
0.9413 0.2920 0.5769
```

=====

No. 6
The following is a calculated powder diffraction line list of SrCaMgSi2O7. It was derived from a structure optimized by DFT (PBE), using Cu Kα.

Most intense lines, 15 to 90 degrees two-theta, in order of falling intensity:
d_spacing, 2θ (°), I_rel
2.958, 30.22, 100
2.908, 30.75, 50
2.930, 30.51, 44
3.167, 28.18, 32
1.888, 48.21, 25
5.662, 15.65, 21

```
SrCaMgSi2O7
1.0
5.1395 0.0000 0.0000
0.0000 8.0419 0.0000
-0.1669 0.0000 7.9741
Sr Ca Mg Si O
2 2 2 4 14
direct
0.0141 0.0000 0.0866
0.9859 0.5000 0.9134
0.0088 0.8472 0.5847
0.9912 0.3472 0.4153
0.4956 0.1667 0.7459
0.5044 0.6667 0.2541
0.4277 0.5230 0.6023
0.4449 0.8039 0.8809
0.5551 0.3039 0.1191
0.5723 0.0230 0.3977
0.2404 0.3039 0.1200
0.2579 0.0140 0.3989
0.2777 0.5834 0.4292
0.2807 0.3513 0.6603
0.2945 0.9748 0.8202
0.3112 0.7463 0.0566
0.3247 0.6651 0.7411
0.6753 0.1651 0.2589
0.6888 0.2463 0.9434
0.7055 0.4748 0.1798
0.7193 0.8513 0.3397
0.7223 0.0834 0.5708
0.7421 0.5140 0.6011
0.7596 0.8039 0.8800
```

=====

No. 7
The following is a calculated powder diffraction line list of CaMg6SnO8. It was derived from a structure optimized by DFT (PBE), using Cu Kα.

Most intense lines, 15 to 90 degrees two-theta, in order of falling intensity:
d_spacing, 2θ (°), I_rel
2.264, 39.82, 100
1.595, 57.81, 54
2.608, 34.39, 51
2.248, 40.12, 44
1.601, 57.58, 30
3.016, 29.62, 30

```
CaMg6SnO8
1.0
4.5275 0.0000 0.0000
0.0000 4.5275 0.0000
0.0000 0.0000 8.9909
Ca Mg Sn O
1 6 1 8
direct
0.0000 0.0000 0.0000
0.0000 0.0000 0.5000
0.0000 0.5000 0.2695
0.0000 0.5000 0.7305
0.5000 0.0000 0.2695
0.5000 0.0000 0.7305
0.5000 0.5000 0.5000
0.5000 0.5000 0.0000
0.0000 0.0000 0.2673
0.0000 0.0000 0.7327
0.0000 0.5000 0.0000
0.0000 0.5000 0.5000
0.5000 0.0000 0.0000
0.5000 0.0000 0.5000
0.5000 0.5000 0.2762
0.5000 0.5000 0.7238
```

=====

What did the third record say?
The following is a calculated powder diffraction line list of CaMg2S3O12. It was derived from a structure optimized by DFT (PBE), using Cu Kα.

Most intense lines, 15 to 90 degrees two-theta, in order of falling intensity:
d_spacing, 2θ (°), I_rel
3.713, 23.97, 100
2.805, 31.90, 43
1.856, 49.09, 20
2.477, 36.26, 12
1.621, 56.78, 9
1.583, 58.29, 9

```
CaMg2S3O12
1.0
8.5817 0.0000 0.0000
-4.2908 7.4319 0.0000
0.0000 0.0000 7.4073
Ca Mg S O
2 4 6 24
direct
0.0000 0.0000 0.0000
0.0000 0.0000 0.5000
0.3333 0.6667 0.0460
0.3333 0.6667 0.4540
0.6667 0.3333 0.5460
0.6667 0.3333 0.9540
0.0334 0.6675 0.7500
0.3325 0.3659 0.7500
0.3659 0.0334 0.2500
0.6341 0.9666 0.7500
0.6675 0.6341 0.2500
0.9666 0.3325 0.2500
0.0205 0.1913 0.2500
0.1356 0.5126 0.2500
0.1372 0.6887 0.5847
0.1372 0.6887 0.9153
0.1708 0.9795 0.2500
0.1913 0.1708 0.7500
0.3113 0.4485 0.5847
0.3113 0.4485 0.9153
0.3770 0.8644 0.2500
0.4485 0.1372 0.0847
0.4485 0.1372 0.4153
0.4874 0.6230 0.2500
0.5126 0.3770 0.7500
0.5515 0.8628 0.5847
0.5515 0.8628 0.9153
0.6230 0.1356 0.7500
0.6887 0.5515 0.0847
0.6887 0.5515 0.4153
0.8087 0.8292 0.2500
0.8292 0.0205 0.7500
0.8628 0.3113 0.0847
0.8628 0.3113 0.4153
0.8644 0.4874 0.7500
0.9795 0.8087 0.7500
```

=====

Which formula does entry 3 have?
CaMg2S3O12